The following is a theoretical PXRD pattern of Sr2GeCl6. It was derived from the GGA-PBE geometry in Alexandria, using copper Kα.
Lines closer than 0.1° are merged.

Most intense lines, 2θ = 10–90°, by angle:
| 2θ (°) | intensity |
| --- | --- |
| 18.9 | 100 |
| 24.5 | 44 |
| 28.0 | 38 |
| 36.7 | 89 |
| 38.4 | 30 |
| 41.6 | 17 |
| 46.1 | 63 |
| 61.5 | 21 |
| 72.7 | 17 |
| 74.9 | 18 |

Cell and atoms:
Lattice parameters (Å, degrees): 6.630 6.630 13.028 90.00 90.00 90.00
Atoms (fractional coordinates):
Sr 0.000 0.000 0.167
Sr 0.000 0.000 0.833
Sr 0.500 0.500 0.333
Sr 0.500 0.500 0.667
Ge 0.000 0.000 0.500
Ge 0.500 0.500 0.000
Cl 0.190 0.190 0.344
Cl 0.190 0.190 0.656
Cl 0.209 0.209 0.000
Cl 0.291 0.709 0.500
Cl 0.310 0.690 0.156
Cl 0.310 0.690 0.844
Cl 0.690 0.310 0.156
Cl 0.690 0.310 0.844
Cl 0.709 0.291 0.500
Cl 0.791 0.791 0.000
Cl 0.810 0.810 0.344
Cl 0.810 0.810 0.656

=====

The following is a theoretical PXRD pattern of Pr2Pa3Se8. It was derived from the GGA-PBE geometry in Alexandria, using copper Kα.
Lines closer than 0.1° are merged.

Most intense lines, 2θ = 10–90°, by angle:
| 2θ (°) | intensity |
| --- | --- |
| 12.4 | 80 |
| 19.7 | 44 |
| 22.2 | 33 |
| 26.5 | 69 |
| 32.8 | 100 |
| 33.2 | 52 |
| 38.8 | 64 |
| 39.5 | 37 |
| 43.8 | 39 |
| 45.2 | 58 |

Cell and atoms:
Lattice parameters (Å, degrees): 8.566 8.566 6.892 105.24 105.24 57.69
Atoms (fractional coordinates):
Pr 0.242 0.242 0.169
Pr 0.758 0.758 0.831
Pa 0.256 0.744 0.500
Pa 0.500 0.500 0.000
Pa 0.744 0.256 0.500
Se 0.109 0.109 0.415
Se 0.138 0.617 0.087
Se 0.377 0.377 0.586
Se 0.383 0.862 0.913
Se 0.617 0.138 0.087
Se 0.623 0.623 0.414
Se 0.862 0.383 0.913
Se 0.891 0.891 0.585